[1]
The following is a theoretical X-ray powder pattern of NaLiY2F8. It was derived from a crystal structure in Alexandria, relaxed with GGA-PBE, using Cu Kα (weighted mean of Kα1 and Kα2).
Peak positions follow from Bragg's law for the DFT cell and can differ from measured ones.

Crystal structure
```
data_NaLiY2F8
_chemical_formula_sum 'Na4 Li4 Y8 F32'
_symmetry_space_group_name_H-M 'C m c m'
_symmetry_Int_Tables_number 63
_symmetry_space_group_name_Hall '-C 2c 2'
_cell_length_a 10.5928
_cell_length_b 8.3838
_cell_length_c 7.1297
_cell_angle_alpha 90.00
_cell_angle_beta 90.00
_cell_angle_gamma 90.00
loop_
_atom_site_label
_atom_site_type_symbol
_atom_site_fract_x
_atom_site_fract_y
_atom_site_fract_z
Na1 Na 0.0000 0.1603 0.2500
Li1 Li 0.0000 0.5000 0.0000
Y1 Y 0.1868 0.2357 0.7500
F1 F 0.0000 0.1074 0.7500
F2 F 0.0000 0.4126 0.7500
F3 F 0.1373 0.2982 0.0504
F4 F 0.2193 0.0276 0.2500
```

Top 8 peaks for 2θ = 5–70°, by angle:
2θ 16.7, I = 50.4, hkl 2 0 0; 2θ 18.4, I = 43.9, hkl 1 1 1; 2θ 21.2, I = 100.0, hkl 0 2 0; 2θ 25.0, I = 78.8, hkl 0 0 2; 2θ 30.2, I = 99.3, hkl 3 1 1; 2θ 43.2, I = 68.8, hkl 3 3 1; 2θ 47.4, I = 51.0, hkl 3 1 3; 2θ 57.2, I = 38.1, hkl 3 3 3

---

[2]
The following is a theoretical X-ray powder pattern of Ce6Ir2C. It was derived from a crystal structure in Alexandria, relaxed with GGA-PBE, using Cu Kα (weighted mean of Kα1 and Kα2).
Peak positions follow from Bragg's law for the DFT cell and can differ from measured ones.

Crystal structure
```
data_Ce6Ir2C
_chemical_formula_sum 'Ce12 Ir4 C2'
_symmetry_space_group_name_H-M 'P 1 21/c 1'
_symmetry_Int_Tables_number 14
_cell_length_a 6.3418
_cell_length_b 7.1022
_cell_length_c 11.4325
_cell_angle_alpha 90.00
_cell_angle_beta 121.24
_cell_angle_gamma 90.00
loop_
_symmetry_equiv_pos_as_xyz
'x,y,z'
'-x,-y,-z'
'-x,y+1/2,-z+1/2'
'x,-y+1/2,z+1/2'
loop_
_atom_site_label
_atom_site_type_symbol
_atom_site_fract_x
_atom_site_fract_y
_atom_site_fract_z
Ce1 Ce 0.1083 0.0366 0.2430
Ce2 Ce 0.2152 0.6834 0.0592
Ce3 Ce 0.3825 0.1718 0.0580
Ir1 Ir 0.3246 0.1168 0.7598
C1 C 0.0000 0.0000 0.0000
```

Top 8 peaks for 2θ = 5–70°, by angle:
2θ 31.1, I = 57.2, hkl 0 2 2; 2θ 31.9, I = 55.2, hkl 2 1 -1; 2θ 32.6, I = 56.6, hkl 2 1 -3; 2θ 32.9, I = 37.9, hkl 1 1 2; 2θ 33.9, I = 100.0, hkl 1 2 1; 2θ 36.7, I = 52.3, hkl 0 0 4; 2θ 37.5, I = 50.7, hkl 0 2 3; 2θ 40.7, I = 40.4, hkl 1 3 -1

---

[3]
The following is a theoretical X-ray powder pattern of K5NbO4F2. It was derived from a crystal structure in Alexandria, relaxed with GGA-PBE, using Cu Kα (weighted mean of Kα1 and Kα2).
Peak positions follow from Bragg's law for the DFT cell and can differ from measured ones.

Crystal structure
```
data_K5NbO4F2
_chemical_formula_sum 'K10 Nb2 O8 F4'
_symmetry_space_group_name_H-M 'A m m 2'
_symmetry_Int_Tables_number 38
_cell_length_a 7.6888
_cell_length_b 10.3930
_cell_length_c 6.3321
_cell_angle_alpha 90.00
_cell_angle_beta 90.00
_cell_angle_gamma 90.00
loop_
_symmetry_equiv_pos_as_xyz
'x,y,z'
'-x,-y,z'
'-x,y,z'
'x,-y,z'
'x,y+1/2,z+1/2'
'-x,-y+1/2,z+1/2'
'-x,y+1/2,z+1/2'
'x,-y+1/2,z+1/2'
loop_
_atom_site_label
_atom_site_type_symbol
_atom_site_fract_x
_atom_site_fract_y
_atom_site_fract_z
K1 K 0.0000 0.0000 0.0000
K2 K 0.2576 0.1856 0.4909
Nb1 Nb 0.5000 0.0000 0.0083
O1 O 0.3023 0.0000 0.1845
O2 O 0.5000 0.1470 0.8330
F1 F 0.0000 0.2021 0.7602
```

Top 8 peaks for 2θ = 5–70°, by angle:
2θ 16.4, I = 42.9, hkl 0 1 1; 2θ 20.1, I = 23.9, hkl 1 1 1; 2θ 28.2, I = 28.4, hkl 0 0 2; 2θ 28.5, I = 100.0, hkl 2 1 1; 2θ 28.9, I = 35.6, hkl 2 2 0; 2θ 29.4, I = 94.9, hkl 0 3 1; 2θ 40.8, I = 74.3, hkl 2 2 2; 2θ 52.1, I = 32.4, hkl 2 5 1

---

[4]
The following is a theoretical X-ray powder pattern of PrZrPd6. It was derived from a crystal structure in Alexandria, relaxed with GGA-PBE, using Cu Kα (weighted mean of Kα1 and Kα2).
Peak positions follow from Bragg's law for the DFT cell and can differ from measured ones.

Crystal structure
```
data_PrZrPd6
_chemical_formula_sum 'Pr1 Zr1 Pd6'
_symmetry_space_group_name_H-M 'P 4/m m m'
_symmetry_Int_Tables_number 123
_symmetry_space_group_name_Hall '-P 4 2'
_cell_length_a 4.1239
_cell_length_b 4.1239
_cell_length_c 8.2568
_cell_angle_alpha 90.00
_cell_angle_beta 90.00
_cell_angle_gamma 90.00
loop_
_atom_site_label
_atom_site_type_symbol
_atom_site_fract_x
_atom_site_fract_y
_atom_site_fract_z
Pr1 Pr 0.0000 0.0000 0.0000
Zr1 Zr 0.0000 0.0000 0.5000
Pd1 Pd 0.0000 0.5000 0.2652
Pd2 Pd 0.5000 0.5000 0.0000
Pd3 Pd 0.5000 0.5000 0.5000
```

Top 7 peaks for 2θ = 5–70°, by angle:
2θ 24.1, I = 0.9, hkl 1 0 1; 2θ 32.5, I = 3.0, hkl 0 0 3; 2θ 37.8, I = 100.0, hkl 1 1 2; 2θ 43.9, I = 48.5, hkl 2 0 0; 2θ 55.7, I = 1.5, hkl 2 0 3; 2θ 63.8, I = 30.4, hkl 2 2 0; 2θ 64.9, I = 1.6, hkl 1 1 5